Calculated XRD peak list
Compound: Sm3GaTe
Radiation: Cu Kα X-rays
Structure: a GGA-PBE-relaxed structure
Intensities are scaled so that the largest is 100.

Crystal structure
```
Sm3GaTe
1.0
3.5955 2.0759 7.6672
-3.5955 2.0759 7.6672
0.0000 -4.1517 7.6672
Sm Ga Te
6 2 2
direct
0.0928 0.4622 0.6993
0.3007 0.5378 0.9072
0.4622 0.6993 0.0928
0.5378 0.9072 0.3007
0.6993 0.0928 0.4622
0.9072 0.3007 0.5378
0.3315 0.3315 0.3315
0.6685 0.6685 0.6685
0.1497 0.1497 0.1497
0.8503 0.8503 0.8503
```

Main lines, low angle first (2θ = 10–90°):
2θ = 23.20°, intensity 12.7; 2θ = 24.76°, intensity 53.1; 2θ = 34.19°, intensity 100.0; 2θ = 43.60°, intensity 26.6; 2θ = 54.23°, intensity 13.2; 2θ = 56.54°, intensity 14.1